# CrNi2BO5
Theoretical powder diffraction line list, Cu Kα, 1.54184 Å. Input: a structure optimized by DFT (GGA+U).
Neutral-atom scattering factors, no anomalous dispersion.

Main lines, in order of rising 2θ (2θ = 10–90°):
2theta, I/Imax
17.3, 45
19.1, 34
35.1, 100
35.3, 81
38.2, 38
42.3, 26
44.3, 28
47.5, 47
62.1, 37
62.8, 25

Atomic structure:
```
CrNi2BO5
1.0
9.3117 0.0000 0.0000
0.0000 12.2405 0.0000
0.0000 0.0000 3.0319
Cr Ni B O
4 8 4 20
direct
0.2410 0.1132 0.0000 Cr
0.2590 0.6132 0.0000 Cr
0.7410 0.3868 0.0000 Cr
0.7590 0.8868 0.0000 Cr
0.0000 0.0000 0.5000 Ni
0.0000 0.5000 0.0000 Ni
0.0008 0.2820 0.5000 Ni
0.4992 0.7820 0.5000 Ni
0.5000 0.0000 0.0000 Ni
0.5000 0.5000 0.5000 Ni
0.5008 0.2180 0.5000 Ni
0.9992 0.7180 0.5000 Ni
0.2274 0.8602 0.0000 B
0.2726 0.3602 0.0000 B
0.7274 0.6398 0.0000 B
0.7726 0.1398 0.0000 B
0.1084 0.1431 0.5000 O
0.1176 0.5770 0.5000 O
0.1247 0.3587 0.0000 O
0.1513 0.9584 0.0000 O
0.1523 0.7620 0.0000 O
0.3477 0.2620 0.0000 O
0.3487 0.4584 0.0000 O
0.3753 0.8587 0.0000 O
0.3824 0.0770 0.5000 O
0.3916 0.6431 0.5000 O
0.6084 0.3569 0.5000 O
0.6176 0.9230 0.5000 O
0.6247 0.1413 0.0000 O
0.6513 0.5416 0.0000 O
0.6523 0.7380 0.0000 O
0.8477 0.2380 0.0000 O
0.8487 0.0416 0.0000 O
0.8753 0.6413 0.0000 O
0.8824 0.4230 0.5000 O
0.8916 0.8569 0.5000 O
```

# Li9Mn2Co5O16
Theoretical powder diffraction line list, Cu Kα, 1.54184 Å. Input: a structure optimized by DFT (GGA+U).
Neutral-atom scattering factors, no anomalous dispersion.

Main lines, in order of rising 2θ (2θ = 10–90°):
2theta, I/Imax
18.3, 100
35.3, 15
36.2, 26
37.6, 7
42.6, 29
43.9, 53
47.4, 9
57.7, 10
62.6, 15
63.0, 15

Atomic structure:
```
Li9Mn2Co5O16
1.0
5.1863 -2.8981 0.0000
5.1863 2.8981 0.0000
-1.5655 0.0000 9.6352
Li Mn Co O
9 2 5 16
direct
0.0000 0.0000 0.0000 Li
0.0000 0.5000 0.0000 Li
0.1236 0.1236 0.7576 Li
0.2485 0.7515 0.5000 Li
0.3731 0.3731 0.2433 Li
0.5000 0.0000 0.0000 Li
0.6269 0.6269 0.7567 Li
0.7515 0.2485 0.5000 Li
0.8764 0.8764 0.2424 Li
0.2470 0.2470 0.4988 Mn
0.7530 0.7530 0.5012 Mn
0.1265 0.6351 0.7586 Co
0.3649 0.8735 0.2414 Co
0.5000 0.5000 0.0000 Co
0.6351 0.1265 0.7586 Co
0.8735 0.3649 0.2414 Co
0.0557 0.5553 0.3856 O
0.0672 0.0672 0.3729 O
0.1856 0.1856 0.1417 O
0.2166 0.6798 0.1198 O
0.3202 0.7834 0.8802 O
0.3271 0.3271 0.8838 O
0.4247 0.4247 0.6329 O
0.4447 0.9443 0.6144 O
0.5553 0.0557 0.3856 O
0.5753 0.5753 0.3671 O
0.6729 0.6729 0.1162 O
0.6798 0.2166 0.1198 O
0.7834 0.3202 0.8802 O
0.8144 0.8144 0.8583 O
0.9328 0.9328 0.6271 O
0.9443 0.4447 0.6144 O
```

# Mn4CrO8
Theoretical powder diffraction line list, Cu Kα, 1.54184 Å. Input: a structure optimized by DFT (GGA+U).
Neutral-atom scattering factors, no anomalous dispersion.

Main lines, in order of rising 2θ (2θ = 10–90°):
2theta, I/Imax
17.3, 100
18.3, 14
34.9, 13
35.8, 15
37.1, 14
41.4, 33
42.7, 61
55.3, 11
59.9, 16
61.9, 17

Atomic structure:
```
Mn4CrO8
1.0
5.2405 -2.9175 0.0000
5.2405 2.9175 0.0000
-3.4087 0.0000 5.1383
Mn Cr O
4 1 8
direct
0.0000 0.0000 0.0000 Mn
0.0000 0.5000 0.0000 Mn
0.5000 0.0000 0.0000 Mn
0.5000 0.5000 0.5000 Mn
0.5000 0.5000 0.0000 Cr
0.2232 0.7218 0.1949 O
0.2568 0.2568 0.2140 O
0.2676 0.2676 0.8092 O
0.2782 0.7768 0.8051 O
0.7218 0.2232 0.1949 O
0.7324 0.7324 0.1908 O
0.7432 0.7432 0.7860 O
0.7768 0.2782 0.8051 O
```

# KHo2CuMo4O16
Theoretical powder diffraction line list, Cu Kα, 1.54184 Å. Input: a structure optimized by DFT (GGA+U).
Neutral-atom scattering factors, no anomalous dispersion.

Main lines, in order of rising 2θ (2θ = 10–90°):
2theta, I/Imax
25.0, 37
26.4, 39
27.6, 37
28.4, 100
28.8, 53
29.9, 76
30.0, 37
30.7, 36
31.3, 32
34.0, 49

Atomic structure:
```
KHo2CuMo4O16
1.0
5.2843 0.0000 0.0000
2.6405 6.3435 0.0000
1.1312 -0.0461 19.6638
K Ho Cu Mo O
2 4 2 8 32
direct
0.0000 0.0000 0.0000 K
0.0540 0.8824 0.5000 K
0.1730 0.6476 0.7199 Ho
0.1775 0.6473 0.2836 Ho
0.8788 0.2369 0.2205 Ho
0.8819 0.2372 0.7825 Ho
0.3362 0.3253 0.5024 Cu
0.7174 0.5606 0.0013 Cu
0.2781 0.4234 0.8978 Mo
0.2953 0.4251 0.1053 Mo
0.4483 0.0653 0.3431 Mo
0.4814 0.0657 0.6601 Mo
0.5730 0.8194 0.8432 Mo
0.6073 0.8179 0.1610 Mo
0.7591 0.4595 0.3983 Mo
0.7770 0.4589 0.6044 Mo
0.0133 0.2173 0.4231 O
0.0435 0.6647 0.0790 O
0.0871 0.4639 0.8176 O
0.0949 0.3459 0.9649 O
0.1200 0.2455 0.1220 O
0.1947 0.2812 0.2935 O
0.2438 0.9812 0.7145 O
0.2503 0.0387 0.8519 O
0.2866 0.9031 0.2161 O
0.2971 0.6625 0.9237 O
0.3306 0.1233 0.5798 O
0.3483 0.8447 0.3528 O
0.4231 0.6400 0.6214 O
0.4501 0.4659 0.1850 O
0.4984 0.5393 0.4654 O
0.5147 0.7606 0.0805 O
0.5224 0.2812 0.7096 O
0.5346 0.6039 0.7930 O
0.5392 0.1278 0.4232 O
0.5563 0.3433 0.0381 O
0.6089 0.4222 0.3176 O
0.6314 0.2422 0.8808 O
0.7069 0.0390 0.1524 O
0.7237 0.7626 0.9237 O
0.7608 0.2200 0.5783 O
0.7726 0.9810 0.2895 O
0.8041 0.8462 0.6511 O
0.8110 0.9031 0.7887 O
0.8669 0.6032 0.2096 O
0.9345 0.6389 0.3823 O
0.9587 0.5382 0.5371 O
0.9701 0.4195 0.6843 O
```

# Ti2VHO6
Theoretical powder diffraction line list, Cu Kα, 1.54184 Å. Input: a structure optimized by DFT (GGA+U).
Neutral-atom scattering factors, no anomalous dispersion.

Main lines, in order of rising 2θ (2θ = 10–90°):
2theta, I/Imax
23.7, 100
29.9, 94
34.1, 43
35.1, 20
40.3, 20
40.7, 22
53.4, 38
53.7, 34
54.5, 37
54.9, 22

Atomic structure:
```
Ti2VHO6
1.0
8.6542 0.0000 0.0000
0.0000 4.6312 0.0000
-0.5068 0.0000 10.0899
Ti V H O
8 4 4 24
direct
0.0959 0.0000 0.3802 Ti
0.0959 0.5000 0.8802 Ti
0.2246 0.0247 0.1208 Ti
0.2246 0.4753 0.6208 Ti
0.7754 0.5247 0.3792 Ti
0.7754 0.9753 0.8792 Ti
0.9041 0.0000 0.6198 Ti
0.9041 0.5000 0.1198 Ti
0.4086 0.5088 0.3513 V
0.4086 0.9912 0.8513 V
0.5914 0.0088 0.1487 V
0.5914 0.4912 0.6487 V
0.4061 0.5764 0.0555 H
0.4061 0.9236 0.5555 H
0.5939 0.0764 0.4445 H
0.5939 0.4236 0.9445 H
0.0740 0.2197 0.2040 O
0.0740 0.2803 0.7040 O
0.0903 0.7098 0.0414 O
0.0903 0.7902 0.5414 O
0.2391 0.2129 0.9495 O
0.2391 0.2871 0.4495 O
0.2431 0.7037 0.7860 O
0.2431 0.7963 0.2860 O
0.4082 0.2484 0.1967 O
0.4082 0.2516 0.6967 O
0.4157 0.7148 0.5421 O
0.4157 0.7852 0.0421 O
0.5843 0.2148 0.9579 O
0.5843 0.2852 0.4579 O
0.5918 0.7484 0.3033 O
0.5918 0.7516 0.8033 O
0.7569 0.2037 0.7140 O
0.7569 0.2963 0.2140 O
0.7609 0.7129 0.5505 O
0.7609 0.7871 0.0505 O
0.9097 0.2098 0.4586 O
0.9097 0.2902 0.9586 O
0.9260 0.7197 0.2960 O
0.9260 0.7803 0.7960 O
```

# CrO3
Theoretical powder diffraction line list, Cu Kα, 1.54184 Å. Input: a structure optimized by DFT (GGA+U).
Neutral-atom scattering factors, no anomalous dispersion.

Main lines, in order of rising 2θ (2θ = 10–90°):
2theta, I/Imax
16.7, 67
30.1, 10
31.3, 100
33.7, 9
51.5, 9
52.9, 16
53.5, 24
56.4, 13
63.3, 10
77.5, 12

Atomic structure:
```
CrO3
1.0
3.4256 0.0000 0.0000
-1.7128 2.9667 0.0000
0.0000 0.0000 10.6443
Cr O
2 6
direct
0.3333 0.6667 0.2500 Cr
0.6667 0.3333 0.7500 Cr
0.0000 0.0000 0.2500 O
0.0000 0.0000 0.7500 O
0.3333 0.6667 0.0890 O
0.3333 0.6667 0.4110 O
0.6667 0.3333 0.5890 O
0.6667 0.3333 0.9110 O
```

# MgMn4O6
Theoretical powder diffraction line list, Cu Kα, 1.54184 Å. Input: a structure optimized by DFT (GGA+U).
Neutral-atom scattering factors, no anomalous dispersion.

Main lines, in order of rising 2θ (2θ = 10–90°):
2theta, I/Imax
28.9, 36
31.2, 38
32.8, 100
33.8, 73
34.3, 52
34.6, 58
35.1, 51
46.8, 60
50.9, 35
51.0, 42

Atomic structure:
```
MgMn4O6
1.0
5.1950 0.0000 0.0000
2.4355 4.7302 0.0000
2.5435 -1.1750 5.1001
Mg Mn O
1 4 6
direct
0.0000 0.0000 0.0000 Mg
0.2701 0.3695 0.1163 Mn
0.3612 0.8153 0.4725 Mn
0.6388 0.1847 0.5275 Mn
0.7299 0.6305 0.8837 Mn
0.1798 0.6161 0.7428 O
0.2160 0.7685 0.2261 O
0.4548 0.9531 0.7336 O
0.5452 0.0469 0.2664 O
0.7840 0.2315 0.7739 O
0.8202 0.3839 0.2572 O
```